Record 1
The following is a simulated powder X-ray diffraction pattern of CaV2In2. It was derived from a cell relaxed with GGA-PBE, using λ = 1.5418 Å (Cu Kα).

Cell lengths 8.124, 8.124, 3.165 Å; angles 90.00, 90.00, 90.00 degrees
Atoms (fractional coordinates):
Ca (0.000, 0.000, 0.000)
Ca (0.500, 0.500, 0.000)
V (0.086, 0.414, 0.000)
V (0.414, 0.914, 0.000)
V (0.586, 0.086, 0.000)
V (0.914, 0.586, 0.000)
In (0.199, 0.699, 0.500)
In (0.301, 0.199, 0.500)
In (0.699, 0.801, 0.500)
In (0.801, 0.301, 0.500)

Largest 10 diffraction maxima, sorted by position, 2θ from 10° to 90°:
2θ/deg, I (rel.)
21.88, 20
24.50, 27
31.14, 45
35.97, 100
37.69, 73
40.01, 27
46.07, 42
54.89, 22
64.46, 19
77.34, 17

Record 2
The following is a simulated powder X-ray diffraction pattern of Hf2ScZn3. It was derived from a cell relaxed with GGA-PBE, using λ = 1.5418 Å (Cu Kα).

Cell lengths 3.324, 3.324, 9.902 Å; angles 90.00, 90.00, 90.00 degrees
Atoms (fractional coordinates):
Hf (0.000, 0.000, 0.166)
Hf (0.000, 0.000, 0.834)
Sc (0.000, 0.000, 0.500)
Zn (0.500, 0.500, 0.000)
Zn (0.500, 0.500, 0.332)
Zn (0.500, 0.500, 0.668)

Largest 10 diffraction maxima, sorted by position, 2θ from 10° to 90°:
2θ/deg, I (rel.)
17.92, 7
26.82, 11
28.32, 10
38.30, 51
38.44, 100
55.28, 17
55.70, 8
69.34, 34
69.61, 17
82.35, 11

Record 3
The following is a simulated powder X-ray diffraction pattern of NaTl3S8. It was derived from a cell relaxed with GGA-PBE, using λ = 1.5418 Å (Cu Kα).

Cell lengths 7.691, 7.691, 7.691 Å; angles 117.80, 117.80, 93.86 degrees
Atoms (fractional coordinates):
Na (0.000, 0.000, 0.000)
Tl (0.250, 0.750, 0.500)
Tl (0.500, 0.500, 0.000)
Tl (0.750, 0.250, 0.500)
S (0.086, 0.654, 0.000)
S (0.211, 0.211, 0.533)
S (0.322, 0.789, 0.000)
S (0.346, 0.346, 0.433)
S (0.654, 0.086, 0.000)
S (0.678, 0.678, 0.467)
S (0.789, 0.322, 0.000)
S (0.914, 0.914, 0.567)

Largest 10 diffraction maxima, sorted by position, 2θ from 10° to 90°:
2θ/deg, I (rel.)
13.98, 22
22.38, 17
23.18, 100
31.86, 43
39.77, 49
41.21, 30
45.67, 15
62.14, 14
63.19, 15
64.92, 13

Record 4
The following is a simulated powder X-ray diffraction pattern of LiGa2I6. It was derived from a cell relaxed with GGA-PBE, using λ = 1.5418 Å (Cu Kα).

Cell lengths 9.200, 9.200, 9.200 Å; angles 48.15, 48.15, 48.15 degrees
Atoms (fractional coordinates):
Li (0.000, 0.000, 0.000)
Ga (0.279, 0.279, 0.279)
Ga (0.388, 0.388, 0.388)
I (0.094, 0.389, 0.758)
I (0.225, 0.934, 0.598)
I (0.389, 0.758, 0.094)
I (0.598, 0.225, 0.934)
I (0.758, 0.094, 0.389)
I (0.934, 0.598, 0.225)

Largest 10 diffraction maxima, sorted by position, 2θ from 10° to 90°:
2θ/deg, I (rel.)
14.10, 11
21.90, 42
26.16, 100
32.50, 15
41.13, 30
41.68, 25
47.57, 29
49.88, 15
51.19, 9
66.96, 11

Please write out number 3 again, unchanged.
The following is a simulated powder X-ray diffraction pattern of NaTl3S8. It was derived from a cell relaxed with GGA-PBE, using λ = 1.5418 Å (Cu Kα).

Cell lengths 7.691, 7.691, 7.691 Å; angles 117.80, 117.80, 93.86 degrees
Atoms (fractional coordinates):
Na (0.000, 0.000, 0.000)
Tl (0.250, 0.750, 0.500)
Tl (0.500, 0.500, 0.000)
Tl (0.750, 0.250, 0.500)
S (0.086, 0.654, 0.000)
S (0.211, 0.211, 0.533)
S (0.322, 0.789, 0.000)
S (0.346, 0.346, 0.433)
S (0.654, 0.086, 0.000)
S (0.678, 0.678, 0.467)
S (0.789, 0.322, 0.000)
S (0.914, 0.914, 0.567)

Largest 10 diffraction maxima, sorted by position, 2θ from 10° to 90°:
2θ/deg, I (rel.)
13.98, 22
22.38, 17
23.18, 100
31.86, 43
39.77, 49
41.21, 30
45.67, 15
62.14, 14
63.19, 15
64.92, 13

Repeat the first record exactly.
The following is a simulated powder X-ray diffraction pattern of CaV2In2. It was derived from a cell relaxed with GGA-PBE, using λ = 1.5418 Å (Cu Kα).

Cell lengths 8.124, 8.124, 3.165 Å; angles 90.00, 90.00, 90.00 degrees
Atoms (fractional coordinates):
Ca (0.000, 0.000, 0.000)
Ca (0.500, 0.500, 0.000)
V (0.086, 0.414, 0.000)
V (0.414, 0.914, 0.000)
V (0.586, 0.086, 0.000)
V (0.914, 0.586, 0.000)
In (0.199, 0.699, 0.500)
In (0.301, 0.199, 0.500)
In (0.699, 0.801, 0.500)
In (0.801, 0.301, 0.500)

Largest 10 diffraction maxima, sorted by position, 2θ from 10° to 90°:
2θ/deg, I (rel.)
21.88, 20
24.50, 27
31.14, 45
35.97, 100
37.69, 73
40.01, 27
46.07, 42
54.89, 22
64.46, 19
77.34, 17